Theoretical powder diffractogram of Mg4Ag3 for λ = 1.5418 Å (Cu Kα), from a structure optimized by DFT (GGA-PBE).
Lines closer than 0.1° are merged.

Largest 6 diffraction maxima, low angle first, 2θ = 5–70°:
hkl 1 0 0, 12.90 deg, I = 31; hkl 1 0 1, 22.47 deg, I = 30; hkl 2 1 0, 34.57 deg, I = 33; hkl 0 0 2, 37.17 deg, I = 27; hkl 2 1 1, 39.41 deg, I = 100; hkl 2 1 2, 51.65 deg, I = 24

Atomic structure:
a b c (Å): 7.9264 7.9264 4.8382
angles (deg): 90.00 90.00 120.00
Space group P6_3/m (No. 176)
Symmetry-distinct sites (fractional):
Mg  0.0338  0.2440  0.2500
Mg  0.3333  0.6667  0.2500
Ag  0.0908  0.4688  0.7500

Theoretical powder diffractogram of MgAgSO for λ = 1.5418 Å (Cu Kα), from a structure optimized by DFT (GGA-PBE).
Lines closer than 0.1° are merged.

Largest 6 diffraction maxima, low angle first, 2θ = 5–70°:
hkl 0 2 0, 13.39 deg, I = 32; hkl 0 2 1, 21.77 deg, I = 47; hkl 1 1 1, 29.80 deg, I = 42; hkl 1 3 0, 30.96 deg, I = 100; hkl 0 0 2, 34.57 deg, I = 44; hkl 1 3 2, 47.08 deg, I = 55

Atomic structure:
a b c (Å): 3.823 13.221 5.189
angles (deg): 90.00 90.00 90.00
Space group Cmc2_1 (No. 36)
Symmetry-distinct sites (fractional):
Mg  0.000  0.067  0.000
Ag  0.000  0.336  0.087
S  0.000  0.320  0.599
O  0.000  0.069  0.627

Theoretical powder diffractogram of MgAgSO for λ = 1.5418 Å (Cu Kα), from a structure optimized by DFT (GGA-PBE).
Lines closer than 0.1° are merged.

Largest 6 diffraction maxima, low angle first, 2θ = 5–70°:
hkl 0 2 1, 20.13 deg, I = 89; hkl 0 0 2, 32.94 deg, I = 65; hkl 0 6 0, 35.72 deg, I = 52; hkl 1 1 1, 36.12 deg, I = 40; hkl 1 3 0, 36.28 deg, I = 88; hkl 1 3 2, 49.80 deg, I = 100

Atomic structure:
a b c (Å): 2.845 15.082 5.439
angles (deg): 90.00 90.00 90.00
Space group Cmcm (No. 63)
Symmetry-distinct sites (fractional):
Mg  0.000  0.029  0.250
Ag  0.000  0.340  0.250
S  0.000  0.307  0.750
O  0.000  0.500  0.000